(1)
Starting from a crystal structure in Alexandria, relaxed with PBE, the XRD peak list of MnBiPd4 was computed for Cu Ka.

Atomic structure:
```
data_MnBiPd4
_symmetry_space_group_name_H-M 'P 1'
_symmetry_Int_Tables_number 1
_symmetry_space_group_name_Hall 'P 1'
_cell_length_a 5.118
_cell_length_b 5.118
_cell_length_c 4.737
_cell_angle_alpha 90.00
_cell_angle_beta 90.00
_cell_angle_gamma 124.73
loop_
_atom_site_label
_atom_site_fract_x
_atom_site_fract_y
_atom_site_fract_z
Mn1 0.000 0.000 0.000
Bi1 0.500 0.500 0.500
Pd1 0.160 0.840 0.500
Pd2 0.335 0.665 0.000
Pd3 0.665 0.335 0.000
Pd4 0.840 0.160 0.500
```

Principal peaks in the range 10° ≤ 2θ ≤ 90°, in order of rising 2θ:
2θ (°)  Rel. int.
18.73  8
21.12  11
27.23  8
37.95  59
40.16  100
54.75  20
69.98  19
70.10  19
74.44  16
86.74  11

=====

(2)
Starting from a crystal structure in Alexandria, relaxed with PBE, the XRD peak list of TbMg3Cd9 was computed for Cu Ka.

Atomic structure:
```
data_TbMg3Cd9
_symmetry_space_group_name_H-M 'P 1'
_symmetry_Int_Tables_number 1
_symmetry_space_group_name_Hall 'P 1'
_cell_length_a 7.598
_cell_length_b 7.598
_cell_length_c 7.562
_cell_angle_alpha 98.96
_cell_angle_beta 98.96
_cell_angle_gamma 133.41
loop_
_atom_site_label
_atom_site_fract_x
_atom_site_fract_y
_atom_site_fract_z
Tb1 0.000 0.000 0.000
Mg1 0.000 0.000 0.500
Mg2 0.000 0.500 0.000
Mg3 0.500 0.000 0.000
Cd1 0.005 0.657 0.656
Cd2 0.279 0.494 0.787
Cd3 0.343 0.995 0.344
Cd4 0.494 0.279 0.787
Cd5 0.500 0.500 0.500
Cd6 0.506 0.721 0.213
Cd7 0.657 0.005 0.656
Cd8 0.721 0.506 0.213
Cd9 0.995 0.343 0.344
```

Principal peaks in the range 10° ≤ 2θ ≤ 90°, in order of rising 2θ:
2θ (°)  Rel. int.
25.05  18
29.73  56
31.03  72
34.98  50
36.08  100
36.23  46
36.49  50
39.58  38
40.62  25
56.96  30

=====

(3)
Starting from a crystal structure in Alexandria, relaxed with PBE, the XRD peak list of RbTi3NbO9 was computed for Cu Ka.

Atomic structure:
```
data_RbTi3NbO9
_symmetry_space_group_name_H-M 'P 1'
_symmetry_Int_Tables_number 1
_symmetry_space_group_name_Hall 'P 1'
_cell_length_a 3.843
_cell_length_b 6.474
_cell_length_c 15.189
_cell_angle_alpha 90.00
_cell_angle_beta 90.00
_cell_angle_gamma 90.00
loop_
_atom_site_label
_atom_site_fract_x
_atom_site_fract_y
_atom_site_fract_z
Rb1 0.000 0.222 0.000
Rb2 0.500 0.778 0.500
Ti1 0.000 0.236 0.374
Ti2 0.000 0.687 0.298
Ti3 0.000 0.696 0.716
Ti4 0.500 0.304 0.216
Ti5 0.500 0.313 0.798
Ti6 0.500 0.764 0.874
Nb1 0.000 0.243 0.622
Nb2 0.500 0.757 0.122
O1 0.000 0.177 0.501
O2 0.000 0.341 0.243
O3 0.000 0.351 0.764
O4 0.000 0.529 0.398
O5 0.000 0.542 0.609
O6 0.000 0.758 0.156
O7 0.000 0.764 0.848
O8 0.000 0.937 0.347
O9 0.000 0.943 0.663
O10 0.500 0.057 0.163
O11 0.500 0.063 0.847
O12 0.500 0.236 0.348
O13 0.500 0.242 0.656
O14 0.500 0.458 0.109
O15 0.500 0.471 0.898
O16 0.500 0.649 0.264
O17 0.500 0.659 0.743
O18 0.500 0.823 0.001
```

Principal peaks in the range 10° ≤ 2θ ≤ 90°, in order of rising 2θ:
2θ (°)  Rel. int.
22.29  52
26.98  33
27.56  85
29.17  97
29.48  100
32.56  85
40.56  31
47.32  52
55.85  42
58.61  30

=====

(4)
Starting from a crystal structure in Alexandria, relaxed with PBE, the XRD peak list of K2Hg9Pd3 was computed for Cu Ka.

Atomic structure:
```
data_K2Hg9Pd3
_symmetry_space_group_name_H-M 'P 1'
_symmetry_Int_Tables_number 1
_symmetry_space_group_name_Hall 'P 1'
_cell_length_a 8.528
_cell_length_b 8.528
_cell_length_c 11.934
_cell_angle_alpha 111.22
_cell_angle_beta 111.22
_cell_angle_gamma 59.76
loop_
_atom_site_label
_atom_site_fract_x
_atom_site_fract_y
_atom_site_fract_z
K1 0.084 0.252 0.250
K2 0.252 0.084 0.750
K3 0.748 0.916 0.250
K4 0.916 0.748 0.750
Hg1 0.020 0.861 0.070
Hg2 0.139 0.980 0.430
Hg3 0.189 0.356 0.568
Hg4 0.194 0.583 0.251
Hg5 0.311 0.482 0.942
Hg6 0.356 0.189 0.068
Hg7 0.358 0.642 0.750
Hg8 0.417 0.806 0.249
Hg9 0.482 0.311 0.442
Hg10 0.518 0.689 0.558
Hg11 0.583 0.194 0.751
Hg12 0.642 0.358 0.250
Hg13 0.644 0.811 0.932
Hg14 0.689 0.518 0.058
Hg15 0.806 0.417 0.749
Hg16 0.811 0.644 0.432
Hg17 0.861 0.020 0.570
Hg18 0.980 0.139 0.930
Pd1 0.000 0.500 0.000
Pd2 0.160 0.669 0.500
Pd3 0.331 0.840 0.000
Pd4 0.500 0.000 0.500
Pd5 0.669 0.160 0.000
Pd6 0.840 0.331 0.500
```

Principal peaks in the range 10° ≤ 2θ ≤ 90°, in order of rising 2θ:
2θ (°)  Rel. int.
16.35  19
32.40  43
32.53  100
36.45  34
36.59  67
39.26  19
39.44  19
40.30  54
63.26  18
63.36  19

=====

(5)
Starting from a crystal structure in Alexandria, relaxed with PBE, the XRD peak list of KGePt was computed for Cu Ka.

Atomic structure:
```
data_KGePt
_symmetry_space_group_name_H-M 'P 1'
_symmetry_Int_Tables_number 1
_symmetry_space_group_name_Hall 'P 1'
_cell_length_a 6.696
_cell_length_b 8.118
_cell_length_c 8.072
_cell_angle_alpha 90.00
_cell_angle_beta 127.03
_cell_angle_gamma 90.00
loop_
_atom_site_label
_atom_site_fract_x
_atom_site_fract_y
_atom_site_fract_z
K1 0.116 0.001 0.308
K2 0.116 0.499 0.808
K3 0.884 0.501 0.192
K4 0.884 0.999 0.692
Ge1 0.499 0.672 0.670
Ge2 0.499 0.828 0.170
Ge3 0.501 0.172 0.830
Ge4 0.501 0.328 0.330
Pt1 0.500 0.123 0.126
Pt2 0.500 0.377 0.626
Pt3 0.500 0.623 0.374
Pt4 0.500 0.877 0.874
```

Principal peaks in the range 10° ≤ 2θ ≤ 90°, in order of rising 2θ:
2θ (°)  Rel. int.
16.58  100
17.58  61
25.95  16
29.53  41
33.53  24
36.00  22
36.16  23
41.13  15
47.94  24
48.20  15

=====

(6)
Starting from a crystal structure in Alexandria, relaxed with PBE, the XRD peak list of LiPm2Sm2Au4 was computed for Cu Ka.

Atomic structure:
```
data_LiPm2Sm2Au4
_symmetry_space_group_name_H-M 'P 1'
_symmetry_Int_Tables_number 1
_symmetry_space_group_name_Hall 'P 1'
_cell_length_a 6.602
_cell_length_b 6.602
_cell_length_c 6.602
_cell_angle_alpha 114.69
_cell_angle_beta 114.69
_cell_angle_gamma 99.47
loop_
_atom_site_label
_atom_site_fract_x
_atom_site_fract_y
_atom_site_fract_z
Li1 0.000 0.000 0.000
Pm1 0.250 0.750 0.500
Pm2 0.750 0.250 0.500
Sm1 0.311 0.311 0.000
Sm2 0.689 0.689 0.000
Au1 0.246 0.246 0.492
Au2 0.246 0.754 0.000
Au3 0.754 0.246 0.000
Au4 0.754 0.754 0.508
```

Principal peaks in the range 10° ≤ 2θ ≤ 90°, in order of rising 2θ:
2θ (°)  Rel. int.
32.75  100
35.64  46
42.36  9
51.29  16
56.53  16
62.20  32
68.63  10
71.42  6
84.73  7
86.36  8